Starting from a PBE-relaxed structure, the powder diffraction line list of Tl2SbSe2I2 was calculated for Cu Kα (weighted mean of Kα1 and Kα2).
No peak broadening, texture or thermal motion is included.

Peak list (10 most intense, 2θ from 10° to 80°, by angle)
(hkl)	2θ (°)	I_rel
0 0 2	10.3	22
1 1 0	23.2	95
1 0 5	30.7	100
1 1 4	31.2	74
2 0 0	33.0	90
2 1 5	45.7	67
2 2 0	47.3	33
3 1 4	57.8	29
1 0 11	61.7	23
3 2 5	67.9	21

Crystal structure
```
data_Tl2SbSe2I2
_cell_length_a 5.431
_cell_length_b 5.431
_cell_length_c 17.218
_cell_angle_alpha 90.00
_cell_angle_beta 90.00
_cell_angle_gamma 90.00
_space_group_name_H-M_alt 'I 4/m m m'
_space_group_IT_number 139
_space_group_name_Hall '-I 4 2'
loop_
_atom_site_label
_atom_site_type_symbol
_atom_site_fract_x
_atom_site_fract_y
_atom_site_fract_z
Tl1 Tl 0.000 0.000 0.119
Sb1 Sb 0.000 0.000 0.500
Se1 Se 0.000 0.500 0.000
I1 I 0.000 0.000 0.325
```